Structure and calculated XRD peak list of TiTeC (the PBE geometry in Alexandria; Cu Ka).
Lines closer than 0.1° are merged.

Largest 10 diffraction maxima, in order of rising 2θ, 2θ from 10° to 90°:
(hkl), 2theta, intensity
0 0 2, 12.40, 51
0 1 3, 29.19, 38
1 0 3, 29.44, 53
1 1 0, 31.91, 100
1 1 2, 34.36, 32
0 1 5, 38.77, 45
1 0 5, 38.96, 36
1 1 4, 40.93, 22
1 2 5, 61.35, 22
2 1 5, 61.76, 22

Cell and atoms:
Lattice parameters (Å, degrees): 3.938 3.994 14.277 90.00 90.00 90.00
Space group Immm (No. 71)
Inequivalent atoms, fractional coordinates:
Ti 0.000 0.000 0.111 (multiplicity 4)
Te 0.000 0.000 0.322 (multiplicity 4)
C 0.000 0.336 0.000 (multiplicity 4)